# 1
Computed powder diffraction line list of K4NaCl5 for Cu Kα (λ = 1.5418 Å), from a cell relaxed with GGA-PBE.
Lines closer than 0.1° are merged.

Structure:
Cell: 7.6533 7.6533 7.6533 Å, 99.71 99.71 131.51°
Positions (direct):
K 0.0989 0.2988 0.3977
K 0.2988 0.9011 0.1999
K 0.7012 0.0989 0.8001
K 0.9011 0.7012 0.6023
Na 0.5000 0.5000 0.0000
Cl 0.0000 0.0000 0.0000
Cl 0.2144 0.5938 0.8082
Cl 0.4062 0.2144 0.6206
Cl 0.5938 0.7856 0.3794
Cl 0.7856 0.4062 0.1918

Most intense lines, 2θ from 10° to 80°, low angle first:
2θ (°), d (Å), I_rel
28.40, 3.143, 51
28.60, 3.121, 100
40.75, 2.214, 68
40.90, 2.207, 33
50.54, 1.806, 32
66.63, 1.404, 13
66.95, 1.398, 12
74.37, 1.276, 17


# 2
Computed powder diffraction line list of K4NaCl5 for Cu Kα (λ = 1.5418 Å), from a cell relaxed with GGA-PBE.
Lines closer than 0.1° are merged.

Structure:
Cell: 18.2727 18.2727 18.2727 Å, 13.84 13.84 13.84°
Positions (direct):
K 0.1035 0.1035 0.1035
K 0.2987 0.2987 0.2987
K 0.7013 0.7013 0.7013
K 0.8965 0.8965 0.8965
Na 0.5000 0.5000 0.5000
Cl 0.0000 0.0000 0.0000
Cl 0.1952 0.1952 0.1952
Cl 0.4024 0.4024 0.4024
Cl 0.5976 0.5976 0.5976
Cl 0.8048 0.8048 0.8048

Most intense lines, 2θ from 10° to 80°, low angle first:
2θ (°), d (Å), I_rel
28.60, 3.121, 100
40.80, 2.212, 31
40.98, 2.202, 35
50.74, 1.799, 17
59.21, 1.561, 9
66.93, 1.398, 10
67.18, 1.393, 13
74.53, 1.273, 8


# 3
Computed powder diffraction line list of K4NaCl5 for Cu Kα (λ = 1.5418 Å), from a cell relaxed with GGA-PBE.
Lines closer than 0.1° are merged.

Structure:
Cell: 11.7135 11.7135 11.7135 Å, 158.39 148.82 38.26°
Positions (direct):
K 0.0980 0.0980 0.0000
K 0.3053 0.3053 0.0000
K 0.6947 0.6947 0.0000
K 0.9020 0.9020 0.0000
Na 0.5000 0.5000 0.0000
Cl 0.0000 0.5000 0.5000
Cl 0.2015 0.7015 0.5000
Cl 0.4108 0.9108 0.5000
Cl 0.5892 0.0892 0.5000
Cl 0.7985 0.2985 0.5000

Most intense lines, 2θ from 10° to 80°, low angle first:
2θ (°), d (Å), I_rel
28.35, 3.148, 53
28.63, 3.118, 100
40.74, 2.215, 84
41.11, 2.196, 17
50.40, 1.811, 16
50.69, 1.801, 17
66.54, 1.405, 13
66.96, 1.397, 17